1.
Structure and computed X-ray diffraction stick pattern of ScV2O2 (a structure optimized by DFT (GGA+U); Cu Kα).
Peak positions follow from Bragg's law for the DFT cell and can differ from measured ones.

Principal peaks in the range 2θ = 5–70°, sorted by position:
| 2θ (°) | I/Imax |
| --- | --- |
| 24.2 | 19 |
| 30.1 | 48 |
| 31.2 | 100 |
| 37.5 | 20 |
| 44.7 | 26 |
| 48.8 | 14 |
| 49.5 | 36 |
| 51.4 | 12 |
| 54.8 | 14 |
| 63.8 | 13 |

Structural model:
a b c (Å): 7.476 7.476 7.476
angles (deg): 114.28 114.28 100.24
Fractional coordinates of all 20 atoms:
Sc 0.000 0.000 0.000
Sc 0.000 0.000 0.500
Sc 0.000 0.500 0.000
Sc 0.500 0.000 0.500
V 0.175 0.636 0.539
V 0.364 0.402 0.539
V 0.364 0.825 0.961
V 0.402 0.364 0.039
V 0.598 0.636 0.961
V 0.636 0.175 0.039
V 0.636 0.598 0.461
V 0.825 0.364 0.461
O 0.123 0.216 0.907
O 0.191 0.784 0.407
O 0.216 0.123 0.407
O 0.216 0.809 0.093
O 0.784 0.191 0.907
O 0.784 0.877 0.593
O 0.809 0.216 0.593
O 0.877 0.784 0.093

=====

2.
Structure and computed X-ray diffraction stick pattern of ScVO3 (a structure optimized by DFT (GGA+U); Cu Kα).
Peak positions follow from Bragg's law for the DFT cell and can differ from measured ones.

Principal peaks in the range 2θ = 5–70°, sorted by position:
| 2θ (°) | I/Imax |
| --- | --- |
| 33.2 | 18 |
| 33.3 | 100 |
| 35.1 | 16 |
| 46.5 | 15 |
| 49.1 | 22 |
| 55.4 | 9 |
| 58.3 | 13 |
| 59.3 | 14 |
| 59.6 | 12 |
| 61.9 | 25 |

Structural model:
a b c (Å): 5.403 7.817 5.109
angles (deg): 90.00 90.00 90.00
Fractional coordinates of all 20 atoms:
Sc 0.061 0.250 0.019
Sc 0.439 0.750 0.519
Sc 0.561 0.250 0.481
Sc 0.939 0.750 0.981
V 0.000 0.000 0.500
V 0.000 0.500 0.500
V 0.500 0.000 0.000
V 0.500 0.500 0.000
O 0.074 0.750 0.355
O 0.192 0.575 0.816
O 0.192 0.925 0.816
O 0.308 0.075 0.316
O 0.308 0.425 0.316
O 0.426 0.250 0.855
O 0.574 0.750 0.145
O 0.692 0.575 0.684
O 0.692 0.925 0.684
O 0.808 0.075 0.184
O 0.808 0.425 0.184
O 0.926 0.250 0.645

=====

3.
Structure and computed X-ray diffraction stick pattern of ScVO2 (a structure optimized by DFT (GGA+U); Cu Kα).
Peak positions follow from Bragg's law for the DFT cell and can differ from measured ones.

Principal peaks in the range 2θ = 5–70°, sorted by position:
| 2θ (°) | I/Imax |
| --- | --- |
| 28.8 | 10 |
| 33.0 | 70 |
| 34.2 | 100 |
| 41.9 | 5 |
| 42.7 | 91 |
| 44.3 | 2 |
| 55.0 | 55 |
| 59.6 | 39 |
| 62.0 | 25 |
| 69.1 | 3 |

Structural model:
a b c (Å): 6.891 6.891 6.891
angles (deg): 128.49 128.49 75.83
Fractional coordinates of all 16 atoms:
Sc 0.000 0.000 0.000
Sc 0.000 0.000 0.500
Sc 0.000 0.500 0.000
Sc 0.500 0.000 0.500
V 0.000 0.500 0.500
V 0.500 0.000 0.000
V 0.500 0.500 0.000
V 0.500 0.500 0.500
O 0.202 0.207 0.505
O 0.202 0.697 0.995
O 0.207 0.202 0.005
O 0.303 0.798 0.505
O 0.697 0.202 0.495
O 0.793 0.798 0.995
O 0.798 0.303 0.005
O 0.798 0.793 0.495

=====

4.
Structure and computed X-ray diffraction stick pattern of ThV2SeO9 (a structure optimized by DFT (GGA+U); Cu Kα).
Peak positions follow from Bragg's law for the DFT cell and can differ from measured ones.

Principal peaks in the range 2θ = 5–70°, sorted by position:
| 2θ (°) | I/Imax |
| --- | --- |
| 12.0 | 60 |
| 17.6 | 48 |
| 18.7 | 48 |
| 22.2 | 82 |
| 24.2 | 46 |
| 24.6 | 58 |
| 27.4 | 61 |
| 29.2 | 100 |
| 33.3 | 61 |
| 46.2 | 41 |

Structural model:
a b c (Å): 6.939 14.714 7.251
angles (deg): 90.00 90.00 90.00
Fractional coordinates of all 52 atoms:
Th 0.145 0.046 0.250
Th 0.145 0.454 0.750
Th 0.855 0.546 0.250
Th 0.855 0.954 0.750
V 0.198 0.730 0.750
V 0.198 0.770 0.250
V 0.438 0.250 0.000
V 0.438 0.250 0.500
V 0.562 0.750 0.000
V 0.562 0.750 0.500
V 0.802 0.230 0.750
V 0.802 0.270 0.250
Se 0.308 0.044 0.750
Se 0.308 0.456 0.250
Se 0.692 0.544 0.750
Se 0.692 0.956 0.250
O 0.028 0.688 0.250
O 0.028 0.812 0.750
O 0.101 0.625 0.750
O 0.101 0.875 0.250
O 0.172 0.510 0.075
O 0.172 0.510 0.425
O 0.172 0.990 0.575
O 0.172 0.990 0.925
O 0.279 0.750 0.000
O 0.279 0.750 0.500
O 0.300 0.159 0.049
O 0.300 0.159 0.451
O 0.300 0.341 0.549
O 0.300 0.341 0.951
O 0.477 0.013 0.250
O 0.477 0.487 0.750
O 0.488 0.721 0.750
O 0.488 0.779 0.250
O 0.512 0.221 0.750
O 0.512 0.279 0.250
O 0.523 0.513 0.250
O 0.523 0.987 0.750
O 0.700 0.659 0.049
O 0.700 0.659 0.451
O 0.700 0.841 0.549
O 0.700 0.841 0.951
O 0.721 0.250 0.000
O 0.721 0.250 0.500
O 0.828 0.010 0.075
O 0.828 0.010 0.425
O 0.828 0.490 0.575
O 0.828 0.490 0.925
O 0.899 0.125 0.750
O 0.899 0.375 0.250
O 0.972 0.188 0.250
O 0.972 0.312 0.750

=====

5.
Structure and computed X-ray diffraction stick pattern of TlVSeO5 (a structure optimized by DFT (GGA+U); Cu Kα).
Peak positions follow from Bragg's law for the DFT cell and can differ from measured ones.

Principal peaks in the range 2θ = 5–70°, sorted by position:
| 2θ (°) | I/Imax |
| --- | --- |
| 14.9 | 27 |
| 24.6 | 28 |
| 26.2 | 93 |
| 27.4 | 100 |
| 28.9 | 55 |
| 32.5 | 30 |
| 32.9 | 26 |
| 41.4 | 33 |
| 45.1 | 26 |
| 53.8 | 23 |

Structural model:
a b c (Å): 7.226 8.810 8.027
angles (deg): 90.00 90.00 90.00
Fractional coordinates of all 32 atoms:
Tl 0.026 0.113 0.000
Tl 0.474 0.613 0.500
Tl 0.526 0.387 0.000
Tl 0.974 0.887 0.500
V 0.212 0.740 0.903
V 0.288 0.240 0.403
V 0.712 0.760 0.903
V 0.788 0.260 0.403
Se 0.047 0.516 0.194
Se 0.453 0.016 0.694
Se 0.547 0.984 0.194
Se 0.953 0.484 0.694
O 0.065 0.177 0.369
O 0.109 0.628 0.667
O 0.110 0.543 0.984
O 0.221 0.821 0.090
O 0.248 0.919 0.754
O 0.252 0.419 0.254
O 0.279 0.321 0.590
O 0.390 0.043 0.484
O 0.391 0.128 0.167
O 0.435 0.677 0.869
O 0.565 0.323 0.369
O 0.609 0.872 0.667
O 0.610 0.957 0.984
O 0.721 0.679 0.090
O 0.748 0.581 0.754
O 0.752 0.081 0.254
O 0.779 0.179 0.590
O 0.890 0.457 0.484
O 0.891 0.372 0.167
O 0.935 0.823 0.869